The following is a calculated powder diffraction line list of MgV2O4. It was derived from a structure optimized by DFT (GGA+U), using a wavelength of 1.5418 Å.
No peak broadening, texture or thermal motion is included.

Principal peaks in the range 5 to 70 degrees two-theta, in order of falling intensity:
| Position (°2θ) | I/Imax | (hkl) |
| --- | --- | --- |
| 34.72 | 1000 | 0 2 1 |
| 61.19 | 590 | 2 2 0 |
| 42.19 | 504 | 0 2 4 |
| 17.93 | 486 | 0 0 3 |
| 55.75 | 382 | 0 2 7 |
| 29.49 | 168 | 1 0 4 |

Structure:
abc: 6.0611 6.0611 14.8303
angles: 90.00 90.00 120.00
Space group P3m1 (No. 156)
One atom of each set of equivalent atoms:
Mg (0.0000, 0.0000, 0.0000) (multiplicity 1)
Mg (0.0000, 0.0000, 0.2443) (multiplicity 1)
Mg (0.3333, 0.6667, 0.6618) (multiplicity 1)
Mg (0.6667, 0.3333, 0.3291) (multiplicity 1)
Mg (0.6667, 0.3333, 0.5782) (multiplicity 1)
Mg (0.6667, 0.3333, 0.9561) (multiplicity 1)
V (0.0000, 0.0000, 0.6193) (multiplicity 1)
V (0.1668, 0.3335, 0.4533) (multiplicity 3)
V (0.3314, 0.1657, 0.7871) (multiplicity 3)
V (0.3333, 0.6667, 0.2866) (multiplicity 1)
V (0.3333, 0.6667, 0.9116) (multiplicity 1)
V (0.5017, 0.0033, 0.1206) (multiplicity 3)
O (0.0000, 0.0000, 0.3793) (multiplicity 1)
O (0.0000, 0.0000, 0.8608) (multiplicity 1)
O (0.0270, 0.5135, 0.3736) (multiplicity 3)
O (0.1535, 0.3069, 0.7066) (multiplicity 3)
O (0.1806, 0.3611, 0.2005) (multiplicity 3)
O (0.3082, 0.1541, 0.5331) (multiplicity 3)
O (0.3333, 0.6667, 0.0423) (multiplicity 1)
O (0.3333, 0.6667, 0.5277) (multiplicity 1)
O (0.3575, 0.1787, 0.0439) (multiplicity 3)
O (0.5091, 0.0182, 0.8665) (multiplicity 3)
O (0.6667, 0.3333, 0.1961) (multiplicity 1)
O (0.6667, 0.3333, 0.7151) (multiplicity 1)